1.
This entry pairs a crystal structure of Sr2MgZn2Sn2P4O16 with its simulated X-ray powder pattern. Radiation: CuKα. Structure: a PBE-relaxed structure.
No peak broadening, texture or thermal motion is included.

Crystal structure
Lattice parameters (Å, degrees): 5.3311 7.2753 10.8440 101.89 102.31 96.43
Fractional positions:
Sr 0.0000 0.0000 0.0000
Sr 0.4523 0.5755 0.0709
Mg 0.6777 0.8098 0.3882
Zn 0.2312 0.3538 0.3055
Zn 0.2575 0.3266 0.6955
Sn 0.4986 0.1013 0.5527
Sn 0.8365 0.7093 0.6656
P 0.0646 0.7341 0.2792
P 0.3983 0.8236 0.8052
P 0.6141 0.1583 0.2575
P 0.8395 0.4099 0.8506
O 0.0289 0.3576 0.9605
O 0.0505 0.7683 0.1437
O 0.0897 0.9099 0.3936
O 0.1616 0.9326 0.7771
O 0.3077 0.6271 0.3160
O 0.3106 0.6226 0.7096
O 0.4043 0.2216 0.1567
O 0.4744 0.8312 0.9511
O 0.5559 0.3656 0.8633
O 0.5649 0.2685 0.3929
O 0.5671 0.9442 0.2482
O 0.6389 0.9246 0.7693
O 0.8110 0.6047 0.2782
O 0.8772 0.3025 0.7141
O 0.8880 0.2135 0.2370
O 0.9016 0.6282 0.8525

Principal peaks in the range 10 to 90 degrees two-theta, in order of rising 2θ:
5.133 Å, 17.28°, I 31; 4.048 Å, 21.96°, I 29; 3.426 Å, 26.01°, I 21; 3.288 Å, 27.12°, I 100; 2.814 Å, 31.80°, I 21; 2.652 Å, 33.80°, I 34; 2.613 Å, 34.32°, I 26; 2.563 Å, 35.01°, I 14; 2.104 Å, 42.99°, I 15; 1.751 Å, 52.25°, I 17



2.
This entry pairs a crystal structure of Sr2MgZn2Sn2P4O16 with its simulated X-ray powder pattern. Radiation: CuKα. Structure: a PBE-relaxed structure.
No peak broadening, texture or thermal motion is included.

Crystal structure
Lattice parameters (Å, degrees): 5.7269 8.3019 9.5327 71.30 75.06 87.32
Fractional positions:
Sr 0.0000 0.0000 0.0000
Sr 0.1464 0.4535 0.0098
Mg 0.5658 0.6633 0.0820
Zn 0.9456 0.0623 0.4415
Zn 0.9821 0.4412 0.6255
Sn 0.3341 0.9883 0.5328
Sn 0.5481 0.6593 0.4860
P 0.2148 0.7649 0.2734
P 0.4489 0.2364 0.7347
P 0.6252 0.2848 0.2131
P 0.7809 0.7127 0.7898
O 0.0496 0.9153 0.2768
O 0.1714 0.6229 0.4316
O 0.1943 0.7015 0.1397
O 0.3341 0.3857 0.6281
O 0.3355 0.2220 0.9030
O 0.3633 0.2916 0.2057
O 0.3658 0.0643 0.7214
O 0.4973 0.8090 0.2320
O 0.5239 0.6324 0.8809
O 0.6419 0.1579 0.3802
O 0.7232 0.4651 0.1956
O 0.7288 0.2619 0.6859
O 0.7852 0.8414 0.6331
O 0.8064 0.2217 0.0939
O 0.8532 0.7896 0.9051
O 0.9607 0.5682 0.7733

Principal peaks in the range 10 to 90 degrees two-theta, in order of rising 2θ:
8.727 Å, 10.14°, I 40; 4.363 Å, 20.35°, I 43; 3.535 Å, 25.19°, I 100; 3.454 Å, 25.79°, I 74; 3.264 Å, 27.33°, I 39; 3.211 Å, 27.78°, I 44; 3.145 Å, 28.38°, I 37; 2.899 Å, 30.84°, I 39; 2.653 Å, 33.79°, I 44; 2.434 Å, 36.93°, I 34



3.
This entry pairs a crystal structure of Sr2MgZn2Sn2P4O16 with its simulated X-ray powder pattern. Radiation: CuKα. Structure: a PBE-relaxed structure.
No peak broadening, texture or thermal motion is included.

Crystal structure
Lattice parameters (Å, degrees): 5.6934 7.8640 9.7306 73.62 75.94 85.74
Fractional positions:
Sr 0.1220 0.2426 0.0251
Sr 0.8780 0.7574 0.9749
Mg 0.0000 0.5000 0.5000
Zn 0.0496 0.9331 0.3965
Zn 0.9504 0.0669 0.6035
Sn 0.4085 0.6785 0.5743
Sn 0.5915 0.3215 0.4257
P 0.2620 0.5744 0.2267
P 0.4007 0.9796 0.7559
P 0.5993 0.0204 0.2441
P 0.7380 0.4256 0.7733
O 0.0918 0.6971 0.3151
O 0.1388 0.5337 0.1167
O 0.2204 0.0134 0.8889
O 0.2519 0.3941 0.3638
O 0.3027 0.8021 0.7426
O 0.3345 0.0460 0.2271
O 0.3815 0.1217 0.6076
O 0.4764 0.3691 0.8284
O 0.5236 0.6309 0.1716
O 0.6185 0.8783 0.3924
O 0.6655 0.9540 0.7729
O 0.6973 0.1979 0.2574
O 0.7481 0.6059 0.6362
O 0.7796 0.9866 0.1111
O 0.8612 0.4663 0.8833
O 0.9082 0.3029 0.6849

Principal peaks in the range 10 to 90 degrees two-theta, in order of rising 2θ:
3.549 Å, 25.09°, I 85; 3.392 Å, 26.27°, I 100; 3.344 Å, 26.65°, I 26; 3.218 Å, 27.72°, I 72; 2.858 Å, 31.30°, I 29; 2.831 Å, 31.60°, I 37; 2.648 Å, 33.86°, I 21; 2.236 Å, 40.34°, I 27; 2.098 Å, 43.11°, I 31; 1.864 Å, 48.86°, I 26



4.
This entry pairs a crystal structure of Sr2MgZn2Sn2P4O16 with its simulated X-ray powder pattern. Radiation: CuKα. Structure: a PBE-relaxed structure.
No peak broadening, texture or thermal motion is included.

Crystal structure
Lattice parameters (Å, degrees): 5.4430 8.2472 10.0389 112.05 95.92 92.87
Fractional positions:
Sr 0.0000 0.0000 0.0000
Sr 0.3567 0.5486 0.0140
Mg 0.9764 0.3929 0.2836
Zn 0.1713 0.0756 0.4418
Zn 0.2840 0.6690 0.6637
Sn 0.6553 0.7183 0.5260
Sn 0.7772 0.1022 0.5736
P 0.4254 0.0762 0.7995
P 0.5239 0.2405 0.2949
P 0.8184 0.5531 0.7794
P 0.9406 0.7006 0.2550
O 0.0064 0.5181 0.1476
O 0.1184 0.8527 0.2532
O 0.2412 0.9168 0.7866
O 0.2502 0.2349 0.2309
O 0.3490 0.2343 0.9214
O 0.4011 0.1015 0.6487
O 0.5080 0.1618 0.4152
O 0.5444 0.5918 0.7984
O 0.6460 0.4329 0.3654
O 0.6654 0.7239 0.2280
O 0.6960 0.0346 0.8233
O 0.7030 0.1497 0.1870
O 0.8537 0.3577 0.7467
O 0.9047 0.6025 0.6507
O 0.9937 0.6706 0.9164
O 0.9977 0.6773 0.4064

Principal peaks in the range 10 to 90 degrees two-theta, in order of rising 2θ:
4.405 Å, 20.16°, I 35; 3.804 Å, 23.38°, I 62; 3.715 Å, 23.95°, I 29; 3.476 Å, 25.63°, I 100; 3.120 Å, 28.61°, I 38; 2.969 Å, 30.10°, I 46; 2.836 Å, 31.55°, I 19; 2.683 Å, 33.40°, I 36; 2.237 Å, 40.31°, I 21; 1.984 Å, 45.73°, I 23



5.
This entry pairs a crystal structure of Sr2MgZn2Sn2P4O16 with its simulated X-ray powder pattern. Radiation: CuKα. Structure: a PBE-relaxed structure.
No peak broadening, texture or thermal motion is included.

Crystal structure
Lattice parameters (Å, degrees): 6.1409 7.7503 9.1282 95.82 101.84 101.08
Fractional positions:
Sr 0.1693 0.3254 0.0368
Sr 0.8307 0.6746 0.9632
Mg 0.5000 0.0000 0.0000
Zn 0.0820 0.9918 0.6312
Zn 0.9180 0.0082 0.3688
Sn 0.4482 0.2360 0.4381
Sn 0.5518 0.7640 0.5619
P 0.2175 0.6778 0.7620
P 0.4215 0.7942 0.2130
P 0.5785 0.2058 0.7870
P 0.7825 0.3222 0.2380
O 0.0466 0.8051 0.7678
O 0.1414 0.5236 0.8441
O 0.2242 0.6334 0.5921
O 0.2463 0.8518 0.0906
O 0.3372 0.1388 0.8261
O 0.3785 0.5984 0.2289
O 0.4322 0.9092 0.3696
O 0.4698 0.7837 0.8400
O 0.5302 0.2163 0.1600
O 0.5678 0.0908 0.6304
O 0.6215 0.4016 0.7711
O 0.6628 0.8612 0.1739
O 0.7537 0.1482 0.9094
O 0.7758 0.3666 0.4079
O 0.8586 0.4764 0.1559
O 0.9534 0.1949 0.2322

Principal peaks in the range 10 to 90 degrees two-theta, in order of rising 2θ:
5.355 Å, 16.56°, I 56; 4.434 Å, 20.02°, I 28; 3.285 Å, 27.15°, I 100; 2.997 Å, 29.81°, I 48; 2.915 Å, 30.67°, I 26; 2.891 Å, 30.93°, I 41; 2.752 Å, 32.53°, I 26; 2.727 Å, 32.84°, I 36; 2.686 Å, 33.36°, I 25; 1.926 Å, 47.19°, I 25



6.
This entry pairs a crystal structure of SrMgTiP2O8 with its simulated X-ray powder pattern. Radiation: CuKα. Structure: a PBE-relaxed structure.
No peak broadening, texture or thermal motion is included.

Crystal structure
Lattice parameters (Å, degrees): 5.6592 6.6245 9.5016 106.86 104.61 97.63
Fractional positions:
Sr 0.2170 0.2401 0.4504
Sr 0.7830 0.7599 0.5496
Mg 0.3529 0.2702 0.8575
Mg 0.6471 0.7298 0.1425
Ti 0.0568 0.8343 0.9513
Ti 0.9432 0.1657 0.0487
P 0.1556 0.6796 0.2660
P 0.4470 0.7710 0.7989
P 0.5530 0.2290 0.2011
P 0.8444 0.3204 0.7340
O 0.0144 0.3095 0.8894
O 0.0666 0.8276 0.3922
O 0.1040 0.4430 0.2614
O 0.2729 0.9376 0.8209
O 0.2791 0.0895 0.1510
O 0.3771 0.6267 0.6312
O 0.4317 0.6459 0.9154
O 0.4383 0.7609 0.2894
O 0.5617 0.2391 0.7106
O 0.5683 0.3541 0.0846
O 0.6229 0.3733 0.3688
O 0.7209 0.9105 0.8490
O 0.7271 0.0624 0.1791
O 0.8960 0.5570 0.7386
O 0.9334 0.1724 0.6078
O 0.9856 0.6905 0.1106

Principal peaks in the range 10 to 90 degrees two-theta, in order of rising 2θ:
4.021 Å, 22.11°, I 45; 3.164 Å, 28.20°, I 43; 3.124 Å, 28.57°, I 51; 3.090 Å, 28.89°, I 100; 2.962 Å, 30.17°, I 36; 2.948 Å, 30.32°, I 63; 2.921 Å, 30.61°, I 71; 2.805 Å, 31.91°, I 80; 2.651 Å, 33.81°, I 33; 1.835 Å, 49.69°, I 38



7.
This entry pairs a crystal structure of Mg2Ti5P6O24 with its simulated X-ray powder pattern. Radiation: CuKα. Structure: a PBE-relaxed structure.
No peak broadening, texture or thermal motion is included.

Crystal structure
Lattice parameters (Å, degrees): 6.4836 8.0179 9.5177 104.85 107.90 102.00
Fractional positions:
Mg 0.2093 0.1909 0.2046
Mg 0.7907 0.8091 0.7954
Ti 0.0999 0.5395 0.3906
Ti 0.4626 0.2923 0.9789
Ti 0.5000 0.0000 0.5000
Ti 0.5374 0.7077 0.0211
Ti 0.9001 0.4605 0.6094
P 0.1030 0.7728 0.1363
P 0.2816 0.8585 0.7357
P 0.4238 0.4109 0.6661
P 0.5762 0.5891 0.3339
P 0.7184 0.1415 0.2643
P 0.8970 0.2272 0.8637
O 0.0418 0.6402 0.2190
O 0.0519 0.7416 0.7309
O 0.1202 0.2230 0.9873
O 0.2053 0.4538 0.5808
O 0.2313 0.9664 0.2655
O 0.2504 0.7188 0.0444
O 0.2783 0.8096 0.5633
O 0.3044 0.0575 0.8018
O 0.3653 0.4581 0.3358
O 0.4063 0.2153 0.5883
O 0.4429 0.4549 0.8406
O 0.4859 0.8116 0.8371
O 0.5141 0.1884 0.1629
O 0.5571 0.5451 0.1594
O 0.5937 0.7847 0.4117
O 0.6347 0.5419 0.6642
O 0.6956 0.9425 0.1982
O 0.7217 0.1904 0.4367
O 0.7496 0.2812 0.9556
O 0.7687 0.0336 0.7345
O 0.7947 0.5462 0.4192
O 0.8798 0.7770 0.0127
O 0.9481 0.2584 0.2691
O 0.9582 0.3598 0.7810

Principal peaks in the range 10 to 90 degrees two-theta, in order of rising 2θ:
7.364 Å, 12.02°, I 15; 5.863 Å, 15.11°, I 14; 4.844 Å, 18.31°, I 11; 4.418 Å, 20.10°, I 17; 3.168 Å, 28.16°, I 21; 3.072 Å, 29.07°, I 21; 3.019 Å, 29.59°, I 100; 2.936 Å, 30.44°, I 16; 2.713 Å, 33.02°, I 17; 2.538 Å, 35.37°, I 11



8.
This entry pairs a crystal structure of MgTi4P6O24 with its simulated X-ray powder pattern. Radiation: CuKα. Structure: a PBE-relaxed structure.
No peak broadening, texture or thermal motion is included.

Crystal structure
Lattice parameters (Å, degrees): 8.5558 8.5558 8.5558 60.73 60.73 60.73
Fractional positions:
Mg 0.0000 0.0000 0.0000
Ti 0.1467 0.1467 0.1467
Ti 0.3682 0.3682 0.3682
Ti 0.6318 0.6318 0.6318
Ti 0.8533 0.8533 0.8533
P 0.0301 0.7542 0.4536
P 0.2458 0.5464 0.9699
P 0.4536 0.0301 0.7542
P 0.5464 0.9699 0.2458
P 0.7542 0.4536 0.0301
P 0.9699 0.2458 0.5464
O 0.0119 0.1812 0.3838
O 0.0483 0.9198 0.2606
O 0.0802 0.7394 0.9517
O 0.1329 0.3027 0.5040
O 0.1812 0.3838 0.0119
O 0.2216 0.5932 0.4401
O 0.2606 0.0483 0.9198
O 0.3027 0.5040 0.1329
O 0.3838 0.0119 0.1812
O 0.4068 0.5599 0.7784
O 0.4401 0.2216 0.5932
O 0.4960 0.8671 0.6973
O 0.5040 0.1329 0.3027
O 0.5599 0.7784 0.4068
O 0.5932 0.4401 0.2216
O 0.6162 0.9881 0.8188
O 0.6973 0.4960 0.8671
O 0.7394 0.9517 0.0802
O 0.7784 0.4068 0.5599
O 0.8188 0.6162 0.9881
O 0.8671 0.6973 0.4960
O 0.9198 0.2606 0.0483
O 0.9517 0.0802 0.7394
O 0.9881 0.8188 0.6162

Principal peaks in the range 10 to 90 degrees two-theta, in order of rising 2θ:
6.083 Å, 14.56°, I 12; 4.325 Å, 20.54°, I 28; 4.277 Å, 20.77°, I 29; 3.672 Å, 24.24°, I 100; 3.041 Å, 29.37°, I 24; 2.806 Å, 31.90°, I 18; 2.708 Å, 33.08°, I 25; 2.497 Å, 35.97°, I 14; 1.917 Å, 47.42°, I 17; 1.634 Å, 56.31°, I 17



9.
This entry pairs a crystal structure of MgTi2P3O12 with its simulated X-ray powder pattern. Radiation: CuKα. Structure: a PBE-relaxed structure.
No peak broadening, texture or thermal motion is included.

Crystal structure
Lattice parameters (Å, degrees): 8.5264 8.5264 8.5264 61.06 61.06 61.06
Fractional positions:
Mg 0.0000 0.0000 0.0000
Mg 0.5000 0.5000 0.5000
Ti 0.1444 0.1444 0.1444
Ti 0.3556 0.3556 0.3556
Ti 0.6444 0.6444 0.6444
Ti 0.8556 0.8556 0.8556
P 0.0457 0.7500 0.4543
P 0.2500 0.5457 0.9543
P 0.4543 0.0457 0.7500
P 0.5457 0.9543 0.2500
P 0.7500 0.4543 0.0457
P 0.9543 0.2500 0.5457
O 0.9999 0.1812 0.3868
O 0.0001 0.8188 0.6132
O 0.0575 0.9092 0.2584
O 0.0908 0.7416 0.9425
O 0.1132 0.3188 0.5001
O 0.1812 0.3868 0.9999
O 0.2416 0.5908 0.4425
O 0.2584 0.0575 0.9092
O 0.3188 0.5001 0.1132
O 0.3868 0.9999 0.1812
O 0.4092 0.5575 0.7584
O 0.4425 0.2416 0.5908
O 0.5001 0.1132 0.3188
O 0.4999 0.8868 0.6812
O 0.5575 0.7584 0.4092
O 0.5908 0.4425 0.2416
O 0.6132 0.0001 0.8188
O 0.6812 0.4999 0.8868
O 0.7416 0.9425 0.0908
O 0.7584 0.4092 0.5575
O 0.8188 0.6132 0.0001
O 0.8868 0.6812 0.4999
O 0.9092 0.2584 0.0575
O 0.9425 0.0908 0.7416

Principal peaks in the range 10 to 90 degrees two-theta, in order of rising 2θ:
4.331 Å, 20.50°, I 34; 4.262 Å, 20.84°, I 17; 3.669 Å, 24.26°, I 100; 3.038 Å, 29.40°, I 13; 2.809 Å, 31.85°, I 15; 2.700 Å, 33.18°, I 38; 2.501 Å, 35.91°, I 20; 1.912 Å, 47.55°, I 17; 1.835 Å, 49.69°, I 15; 1.637 Å, 56.19°, I 13